No. 1
Diffraction record for AgSb2. The powder X-ray diffraction pattern is theoretical, not measured: it uses DFT lattice parameters and positions (GGA-PBE) and Cu Kα.

Largest 12 diffraction maxima, by angle, 5 to 70 degrees two-theta:
hkl 1 0 0, d 4.455, rel. 22
hkl 0 0 1, d 4.141, rel. 12
hkl 1 1 0, d 3.150, rel. 12
hkl 1 0 1, d 3.033, rel. 17
hkl 1 1 1, d 2.507, rel. 100
hkl 2 0 0, d 2.228, rel. 35
hkl 0 0 2, d 2.071, rel. 14
hkl 2 1 0, d 1.992, rel. 5
hkl 2 0 1, d 1.962, rel. 6
hkl 2 1 1, d 1.795, rel. 7
hkl 2 2 0, d 1.575, rel. 12
hkl 2 0 2, d 1.517, rel. 20

```
data_AgSb2
_cell_length_a 4.455
_cell_length_b 4.455
_cell_length_c 4.141
_cell_angle_alpha 90.00
_cell_angle_beta 90.00
_cell_angle_gamma 90.00
_space_group_name_H-M_alt 'P 4/m m m'
_space_group_IT_number 123
_space_group_name_Hall '-P 4 2'
loop_
_atom_site_label
_atom_site_type_symbol
_atom_site_fract_x
_atom_site_fract_y
_atom_site_fract_z
Ag1 Ag 0.000 0.000 0.000
Sb1 Sb 0.000 0.500 0.500
```

***

No. 2
Diffraction record for PmPr2Ho2Tm2. The powder X-ray diffraction pattern is theoretical, not measured: it uses DFT lattice parameters and positions (GGA-PBE) and Cu Kα.

Largest 12 diffraction maxima, by angle, 5 to 70 degrees two-theta:
hkl 1 1 -1, d 3.233, rel. 43
hkl 6 0 -1, d 2.937, rel. 100
hkl 4 0 -3, d 2.770, rel. 39
hkl 3 1 -2, d 2.652, rel. 50
hkl 3 1 1, d 2.518, rel. 43
hkl 5 1 0, d 2.347, rel. 22
hkl 7 1 -2, d 2.034, rel. 12
hkl 1 1 -4, d 1.729, rel. 19
hkl 9 1 -3, d 1.670, rel. 13
hkl 10 0 -4, d 1.630, rel. 13
hkl 6 2 -1, d 1.502, rel. 27
hkl 5 1 3, d 1.488, rel. 13

```
data_PmPr2Ho2Tm2
_cell_length_a 17.744
_cell_length_b 3.497
_cell_length_c 8.488
_cell_angle_alpha 90.00
_cell_angle_beta 116.87
_cell_angle_gamma 90.00
_space_group_name_H-M_alt 'C 1 2/m 1'
_space_group_IT_number 12
loop_
_space_group_symop_operation_xyz
'x,y,z'
'-x,-y,-z'
'-x,y,-z'
'x,-y,z'
'x+1/2,y+1/2,z'
'-x+1/2,-y+1/2,-z'
'-x+1/2,y+1/2,-z'
'x+1/2,-y+1/2,z'
loop_
_atom_site_label
_atom_site_type_symbol
_atom_site_fract_x
_atom_site_fract_y
_atom_site_fract_z
Pm1 Pm 0.000 0.000 0.000
Pr1 Pr 0.148 0.500 0.883
Ho1 Ho 0.071 0.500 0.405
Tm1 Tm 0.212 0.000 0.302
```

***

No. 3
Diffraction record for PmUNi17. The powder X-ray diffraction pattern is theoretical, not measured: it uses DFT lattice parameters and positions (GGA-PBE) and Cu Kα.

Largest 12 diffraction maxima, by angle, 5 to 70 degrees two-theta:
hkl 1 1 3, d 2.885, rel. 42
hkl 1 2 2, d 2.471, rel. 11
hkl 3 0 0, d 2.389, rel. 44
hkl 0 2 4, d 2.309, rel. 24
hkl 2 2 0, d 2.069, rel. 59
hkl 0 3 3, d 2.054, rel. 100
hkl 0 0 6, d 2.014, rel. 45
hkl 2 0 5, d 2.003, rel. 18
hkl 2 2 3, d 1.840, rel. 15
hkl 3 0 6, d 1.539, rel. 11
hkl 4 1 3, d 1.458, rel. 15
hkl 2 2 6, d 1.443, rel. 25

```
data_PmUNi17
_cell_length_a 8.2754
_cell_length_b 8.2754
_cell_length_c 12.0759
_cell_angle_alpha 90.00
_cell_angle_beta 90.00
_cell_angle_gamma 120.00
_space_group_name_H-M_alt 'R 3 m'
_space_group_IT_number 160
_space_group_name_Hall 'R 3 -2"'
loop_
_atom_site_label
_atom_site_type_symbol
_atom_site_fract_x
_atom_site_fract_y
_atom_site_fract_z
Pm1 Pm 0.0000 0.0000 0.0000
U1 U 0.0000 0.0000 0.3271
Ni1 Ni 0.0000 0.0000 0.5577
Ni2 Ni 0.0000 0.0000 0.7572
Ni3 Ni 0.0382 0.3680 0.3277
Ni4 Ni 0.1675 0.3350 0.4951
Ni5 Ni 0.1685 0.3369 0.1481
Ni6 Ni 0.1700 0.3399 0.8416
```

***

No. 4
Diffraction record for Cs2TlCd12Ag3. The powder X-ray diffraction pattern is theoretical, not measured: it uses DFT lattice parameters and positions (GGA-PBE) and Cu Kα.

Largest 12 diffraction maxima, by angle, 5 to 70 degrees two-theta:
hkl 1 0 1, d 7.998, rel. 34
hkl 1 0 4, d 4.715, rel. 35
hkl 0 2 1, d 4.201, rel. 29
hkl 0 1 5, d 3.998, rel. 100
hkl 0 2 4, d 3.410, rel. 31
hkl 1 2 2, d 3.107, rel. 33
hkl 3 0 3, d 2.666, rel. 30
hkl 2 2 0, d 2.468, rel. 63
hkl 2 0 8, d 2.358, rel. 80
hkl 2 1 7, d 2.285, rel. 46
hkl 4 0 1, d 2.128, rel. 36
hkl 0 2 10, d 1.999, rel. 20

```
data_Cs2TlCd12Ag3
_cell_length_a 9.8735
_cell_length_b 9.8735
_cell_length_c 22.6089
_cell_angle_alpha 90.00
_cell_angle_beta 90.00
_cell_angle_gamma 120.00
_space_group_name_H-M_alt 'R -3 m'
_space_group_IT_number 166
_space_group_name_Hall '-R 3 2"'
loop_
_atom_site_label
_atom_site_type_symbol
_atom_site_fract_x
_atom_site_fract_y
_atom_site_fract_z
Cs1 Cs 0.0000 0.0000 0.0924
Tl1 Tl 0.0000 0.0000 0.5000
Cd1 Cd 0.0028 0.5014 0.1271
Cd2 Cd 0.1101 0.2202 0.7215
Ag1 Ag 0.0000 0.5000 0.0000
```

***

No. 5
Diffraction record for In6Hg2Bi3. The powder X-ray diffraction pattern is theoretical, not measured: it uses DFT lattice parameters and positions (GGA-PBE) and Cu Kα.

Largest 12 diffraction maxima, by angle, 5 to 70 degrees two-theta:
hkl 0 0 15, d 6.218, rel. 10
hkl 0 0 30, d 3.109, rel. 5
hkl 0 0 33, d 2.827, rel. 27
hkl 0 1 11, d 2.803, rel. 100
hkl 1 0 22, d 2.433, rel. 62
hkl 0 1 41, d 1.806, rel. 5
hkl 0 1 44, d 1.725, rel. 15
hkl 1 1 0, d 1.715, rel. 24
hkl 1 0 55, d 1.473, rel. 7
hkl 1 1 33, d 1.466, rel. 22
hkl 2 0 11, d 1.463, rel. 14
hkl 0 2 22, d 1.402, rel. 11

```
data_In6Hg2Bi3
_cell_length_a 3.4296
_cell_length_b 3.4296
_cell_length_c 93.2760
_cell_angle_alpha 90.00
_cell_angle_beta 90.00
_cell_angle_gamma 120.00
_space_group_name_H-M_alt 'R -3 m'
_space_group_IT_number 166
_space_group_name_Hall '-R 3 2"'
loop_
_atom_site_label
_atom_site_type_symbol
_atom_site_fract_x
_atom_site_fract_y
_atom_site_fract_z
In1 In 0.0000 0.0000 0.0948
In2 In 0.0000 0.0000 0.1814
In3 In 0.0000 0.0000 0.3651
Hg1 Hg 0.0000 0.0000 0.4569
Bi1 Bi 0.0000 0.0000 0.0000
Bi2 Bi 0.0000 0.0000 0.2694
```

***

No. 6
Diffraction record for K3Ba2Pr2Bi3O15. The powder X-ray diffraction pattern is theoretical, not measured: it uses DFT lattice parameters and positions (GGA-PBE) and Cu Kα.

Largest 12 diffraction maxima, by angle, 5 to 70 degrees two-theta:
hkl 0 1 5, d 5.118, rel. 3
hkl 0 1 8, d 4.724, rel. 2
hkl 1 0 10, d 4.433, rel. 29
hkl 1 1 0, d 3.134, rel. 100
hkl 0 2 10, d 2.559, rel. 2
hkl 2 0 20, d 2.216, rel. 30
hkl 2 1 10, d 1.982, rel. 14
hkl 3 0 0, d 1.810, rel. 41
hkl 2 2 0, d 1.567, rel. 19
hkl 3 0 30, d 1.478, rel. 4
hkl 1 3 10, d 1.477, rel. 3
hkl 3 1 20, d 1.402, rel. 18

```
data_K3Ba2Pr2Bi3O15
_cell_length_a 6.2642
_cell_length_b 6.2642
_cell_length_c 76.8782
_cell_angle_alpha 90.00
_cell_angle_beta 90.00
_cell_angle_gamma 120.00
_space_group_name_H-M_alt 'R -3 m'
_space_group_IT_number 166
_space_group_name_Hall '-R 3 2"'
loop_
_atom_site_label
_atom_site_type_symbol
_atom_site_fract_x
_atom_site_fract_y
_atom_site_fract_z
K1 K 0.0000 0.0000 0.0477
K2 K 0.0000 0.0000 0.3489
K3 K 0.0000 0.0000 0.4483
Ba1 Ba 0.0000 0.0000 0.1504
Ba2 Ba 0.0000 0.0000 0.2520
Pr1 Pr 0.0000 0.0000 0.2010
Pr2 Pr 0.0000 0.0000 0.3979
Bi1 Bi 0.0000 0.0000 0.0000
Bi2 Bi 0.0000 0.0000 0.0989
Bi3 Bi 0.0000 0.0000 0.3015
Bi4 Bi 0.0000 0.0000 0.5000
O1 O 0.0000 0.5000 0.3492
O2 O 0.0049 0.5025 0.1515
O3 O 0.0134 0.5067 0.7496
O4 O 0.0156 0.5078 0.5518
O5 O 0.0261 0.5130 0.9516
```

***

No. 7
Diffraction record for Pm3HoSn6. The powder X-ray diffraction pattern is theoretical, not measured: it uses DFT lattice parameters and positions (GGA-PBE) and Cu Kα.

Largest 12 diffraction maxima, by angle, 5 to 70 degrees two-theta:
hkl 1 1 1, d 3.500, rel. 41
hkl 1 1 -3, d 3.262, rel. 67
hkl 1 3 -1, d 2.922, rel. 65
hkl 2 2 -2, d 2.908, rel. 88
hkl 2 2 -1, d 2.809, rel. 100
hkl 1 3 0, d 2.789, rel. 35
hkl 1 0 2, d 2.669, rel. 39
hkl 2 1 -4, d 2.530, rel. 65
hkl 3 1 -2, d 2.331, rel. 53
hkl 0 4 1, d 2.297, rel. 32
hkl 0 4 2, d 2.071, rel. 26
hkl 4 4 -2, d 1.405, rel. 26

```
data_Pm3HoSn6
_cell_length_a 7.359
_cell_length_b 9.560
_cell_length_c 10.580
_cell_angle_alpha 90.00
_cell_angle_beta 128.44
_cell_angle_gamma 90.00
_space_group_name_H-M_alt 'P 1 21/c 1'
_space_group_IT_number 14
loop_
_space_group_symop_operation_xyz
'x,y,z'
'-x,-y,-z'
'-x,y+1/2,-z+1/2'
'x,-y+1/2,z+1/2'
loop_
_atom_site_label
_atom_site_type_symbol
_atom_site_fract_x
_atom_site_fract_y
_atom_site_fract_z
Pm1 Pm 0.000 0.000 0.000
Pm2 Pm 0.261 0.099 0.795
Ho1 Ho 0.500 0.000 0.500
Sn1 Sn 0.069 0.169 0.429
Sn2 Sn 0.225 0.731 0.425
Sn3 Sn 0.499 0.183 0.204
```

***

No. 8
Diffraction record for Ac5TbGe4. The powder X-ray diffraction pattern is theoretical, not measured: it uses DFT lattice parameters and positions (GGA-PBE) and Cu Kα.

Largest 12 diffraction maxima, by angle, 5 to 70 degrees two-theta:
hkl 0 0 2, d 3.812, rel. 21
hkl 3 1 0, d 3.703, rel. 71
hkl 6 0 0, d 3.179, rel. 57
hkl 6 0 -2, d 3.134, rel. 31
hkl 3 1 -2, d 3.032, rel. 100
hkl 3 1 2, d 2.392, rel. 48
hkl 0 2 0, d 2.277, rel. 26
hkl 4 0 -4, d 2.079, rel. 20
hkl 9 1 -2, d 2.038, rel. 32
hkl 6 2 0, d 1.851, rel. 25
hkl 1 1 -4, d 1.813, rel. 21
hkl 2 0 4, d 1.740, rel. 20

```
data_Ac5TbGe4
_cell_length_a 20.801
_cell_length_b 4.555
_cell_length_c 8.318
_cell_angle_alpha 90.00
_cell_angle_beta 113.51
_cell_angle_gamma 90.00
_space_group_name_H-M_alt 'C 1 2/m 1'
_space_group_IT_number 12
loop_
_space_group_symop_operation_xyz
'x,y,z'
'-x,-y,-z'
'-x,y,-z'
'x,-y,z'
'x+1/2,y+1/2,z'
'-x+1/2,-y+1/2,-z'
'-x+1/2,y+1/2,-z'
'x+1/2,-y+1/2,z'
loop_
_atom_site_label
_atom_site_type_symbol
_atom_site_fract_x
_atom_site_fract_y
_atom_site_fract_z
Ac1 Ac 0.000 0.000 0.000
Ac2 Ac 0.162 0.500 0.412
Ac3 Ac 0.162 0.500 0.913
Tb1 Tb 0.000 0.000 0.500
Ge1 Ge 0.000 0.500 0.268
Ge2 Ge 0.194 0.000 0.695
```

***

No. 9
Diffraction record for Pa2TeC2. The powder X-ray diffraction pattern is theoretical, not measured: it uses DFT lattice parameters and positions (GGA-PBE) and Cu Kα.

Largest 12 diffraction maxima, by angle, 5 to 70 degrees two-theta:
hkl 0 2 2, d 3.673, rel. 17
hkl 2 0 2, d 3.089, rel. 100
hkl 1 3 1, d 2.957, rel. 76
hkl 0 0 4, d 2.675, rel. 32
hkl 1 3 3, d 2.330, rel. 45
hkl 3 3 1, d 1.984, rel. 25
hkl 4 0 0, d 1.892, rel. 14
hkl 3 3 3, d 1.757, rel. 38
hkl 2 0 6, d 1.613, rel. 16
hkl 4 0 4, d 1.545, rel. 13
hkl 3 3 5, d 1.469, rel. 10
hkl 5 3 1, d 1.369, rel. 15

```
data_Pa2TeC2
_cell_length_a 7.568
_cell_length_b 10.102
_cell_length_c 10.699
_cell_angle_alpha 90.00
_cell_angle_beta 90.00
_cell_angle_gamma 90.00
_space_group_name_H-M_alt 'F d d d'
_space_group_IT_number 70
loop_
_space_group_symop_operation_xyz
'x,y,z'
'-x,-y,-z'
'-x+1/4,-y+1/4,z'
'x+1/4,y+1/4,-z'
'x,-y+1/4,-z+1/4'
'-x,y+1/4,z+1/4'
'-x+1/4,y,-z+1/4'
'x+1/4,-y,z+1/4'
'x,y+1/2,z+1/2'
'-x,-y+1/2,-z+1/2'
'-x+1/4,-y+3/4,z+1/2'
'x+1/4,y+3/4,-z+1/2'
'x,-y+3/4,-z+3/4'
'-x,y+3/4,z+3/4'
'-x+1/4,y+1/2,-z+3/4'
'x+1/4,-y+1/2,z+3/4'
'x+1/2,y,z+1/2'
'-x+1/2,-y,-z+1/2'
'-x+3/4,-y+1/4,z+1/2'
'x+3/4,y+1/4,-z+1/2'
'x+1/2,-y+1/4,-z+3/4'
'-x+1/2,y+1/4,z+3/4'
'-x+3/4,y,-z+3/4'
'x+3/4,-y,z+3/4'
'x+1/2,y+1/2,z'
'-x+1/2,-y+1/2,-z'
'-x+3/4,-y+3/4,z'
'x+3/4,y+3/4,-z'
'x+1/2,-y+3/4,-z+1/4'
'-x+1/2,y+3/4,z+1/4'
'-x+3/4,y+1/2,-z+1/4'
'x+3/4,-y+1/2,z+1/4'
loop_
_atom_site_label
_atom_site_type_symbol
_atom_site_fract_x
_atom_site_fract_y
_atom_site_fract_z
Pa1 Pa 0.125 0.311 0.125
Te1 Te 0.125 0.125 0.625
C1 C 0.125 0.125 0.258
```

***

No. 10
Diffraction record for KTb3Cl8. The powder X-ray diffraction pattern is theoretical, not measured: it uses DFT lattice parameters and positions (GGA-PBE) and Cu Kα.

Largest 12 diffraction maxima, by angle, 5 to 70 degrees two-theta:
hkl 0 0 3, d 7.928, rel. 100
hkl 1 0 1, d 6.337, rel. 28
hkl 1 1 3, d 3.424, rel. 14
hkl 0 2 1, d 3.256, rel. 23
hkl 0 2 4, d 2.877, rel. 63
hkl 2 0 5, d 2.705, rel. 9
hkl 0 2 7, d 2.363, rel. 22
hkl 2 0 8, d 2.205, rel. 28
hkl 2 2 0, d 1.898, rel. 19
hkl 2 2 3, d 1.846, rel. 15
hkl 2 0 11, d 1.807, rel. 12
hkl 4 0 4, d 1.585, rel. 12

```
data_KTb3Cl8
_cell_length_a 7.5919
_cell_length_b 7.5919
_cell_length_c 23.7848
_cell_angle_alpha 90.00
_cell_angle_beta 90.00
_cell_angle_gamma 120.00
_space_group_name_H-M_alt 'R -3 m'
_space_group_IT_number 166
_space_group_name_Hall '-R 3 2"'
loop_
_atom_site_label
_atom_site_type_symbol
_atom_site_fract_x
_atom_site_fract_y
_atom_site_fract_z
K1 K 0.0000 0.0000 0.0000
Tb1 Tb 0.0000 0.5000 0.5000
Cl1 Cl 0.0000 0.0000 0.2385
Cl2 Cl 0.0018 0.5009 0.7662
```

***

No. 11
Diffraction record for Ca3Y2Cd3. The powder X-ray diffraction pattern is theoretical, not measured: it uses DFT lattice parameters and positions (GGA-PBE) and Cu Kα.

Largest 12 diffraction maxima, by angle, 5 to 70 degrees two-theta:
hkl 1 0 0, d 7.656, rel. 29
hkl 1 1 0, d 4.420, rel. 27
hkl 2 1 0, d 2.894, rel. 40
hkl 1 1 1, d 2.728, rel. 100
hkl 2 0 1, d 2.570, rel. 32
hkl 3 0 0, d 2.552, rel. 40
hkl 3 1 0, d 2.123, rel. 17
hkl 2 2 1, d 1.864, rel. 12
hkl 3 1 1, d 1.811, rel. 14
hkl 3 2 1, d 1.567, rel. 16
hkl 4 1 1, d 1.505, rel. 17
hkl 3 0 2, d 1.434, rel. 12

```
data_Ca3Y2Cd3
_cell_length_a 8.8399
_cell_length_b 8.8399
_cell_length_c 3.4678
_cell_angle_alpha 90.00
_cell_angle_beta 90.00
_cell_angle_gamma 120.00
_space_group_name_H-M_alt 'P -6 2 m'
_space_group_IT_number 189
_space_group_name_Hall 'P -6 -2'
loop_
_atom_site_label
_atom_site_type_symbol
_atom_site_fract_x
_atom_site_fract_y
_atom_site_fract_z
Ca1 Ca 0.0000 0.2413 0.0000
Y1 Y 0.3333 0.6667 0.0000
Cd1 Cd 0.0000 0.6137 0.5000
```

***

No. 12
Diffraction record for Pm2BeGe5. The powder X-ray diffraction pattern is theoretical, not measured: it uses DFT lattice parameters and positions (GGA-PBE) and Cu Kα.

Largest 12 diffraction maxima, by angle, 5 to 70 degrees two-theta:
hkl 1 1 0, d 4.174, rel. 20
hkl 1 1 2, d 3.135, rel. 32
hkl 2 0 2, d 2.507, rel. 100
hkl 0 0 4, d 2.374, rel. 16
hkl 2 2 0, d 2.087, rel. 32
hkl 1 1 4, d 2.063, rel. 16
hkl 3 1 2, d 1.737, rel. 11
hkl 2 2 4, d 1.567, rel. 18
hkl 1 1 6, d 1.480, rel. 7
hkl 4 0 0, d 1.476, rel. 10
hkl 3 1 4, d 1.467, rel. 11
hkl 2 0 6, d 1.395, rel. 10

```
data_Pm2BeGe5
_cell_length_a 5.903
_cell_length_b 5.903
_cell_length_c 9.495
_cell_angle_alpha 90.00
_cell_angle_beta 90.00
_cell_angle_gamma 90.00
_space_group_name_H-M_alt 'I 4 m m'
_space_group_IT_number 107
_space_group_name_Hall 'I 4 -2'
loop_
_atom_site_label
_atom_site_type_symbol
_atom_site_fract_x
_atom_site_fract_y
_atom_site_fract_z
Pm1 Pm 0.000 0.500 0.000
Be1 Be 0.000 0.000 0.390
Ge1 Ge 0.000 0.000 0.917
Ge2 Ge 0.241 0.241 0.243
```